Calculated PXRD pattern
Compound: NaZnSb
Radiation: λ = 1.5418 Å (Cu Kα)
Structure: a cell relaxed with PBE

The 10 most intense peaks (5° ≤ 2θ ≤ 70°), sorted by position:
2θ = 11.71°, d 7.555, intensity 64, (0 0 1)
2θ = 23.15°, d 3.842, intensity 88, (1 0 1)
2θ = 30.71°, d 2.911, intensity 19, (1 1 1)
2θ = 31.02°, d 2.883, intensity 17, (1 0 2)
2θ = 37.13°, d 2.421, intensity 100, (1 1 2)
2θ = 40.44°, d 2.231, intensity 49, (2 0 0)
2θ = 41.16°, d 2.193, intensity 24, (1 0 3)
2θ = 46.12°, d 1.968, intensity 16, (1 1 3)
2θ = 47.11°, d 1.929, intensity 26, (2 1 1)
2θ = 59.07°, d 1.564, intensity 16, (2 1 3)

Crystal structure
```
data_NaZnSb
_chemical_formula_sum 'Na2 Zn2 Sb2'
_cell_length_a 4.4613
_cell_length_b 4.4613
_cell_length_c 7.5552
_cell_angle_alpha 90.00
_cell_angle_beta 90.00
_cell_angle_gamma 90.00
_space_group_name_H-M_alt 'P 4/n m m'
_space_group_IT_number 129
loop_
_space_group_symop_operation_xyz
'x,y,z'
'-x,-y,-z'
'-y+1/2,x,z'
'y+1/2,-x,-z'
'-x+1/2,-y+1/2,z'
'x+1/2,y+1/2,-z'
'y,-x+1/2,z'
'-y,x+1/2,-z'
'x+1/2,-y,-z'
'-x+1/2,y,z'
'-y,-x,-z'
'y,x,z'
'-x,y+1/2,-z'
'x,-y+1/2,z'
'y+1/2,x+1/2,-z'
'-y+1/2,-x+1/2,z'
loop_
_atom_site_label
_atom_site_type_symbol
_atom_site_fract_x
_atom_site_fract_y
_atom_site_fract_z
_atom_site_occupancy
Na1 Na 0.2500 0.2500 0.1551 1
Zn1 Zn 0.2500 0.7500 0.5000 1
Sb1 Sb 0.2500 0.2500 0.7232 1
```

Calculated PXRD pattern
Compound: NaScSn
Radiation: λ = 1.5418 Å (Cu Kα)
Structure: a cell relaxed with PBE

The 10 most intense peaks (5° ≤ 2θ ≤ 70°), sorted by position:
2θ = 21.97°, d 4.046, intensity 74, (1 1 1)
2θ = 25.42°, d 3.504, intensity 34, (2 0 0)
2θ = 36.26°, d 2.477, intensity 100, (2 2 0)
2θ = 42.80°, d 2.113, intensity 40, (3 1 1)
2θ = 44.80°, d 2.023, intensity 11, (2 2 2)
2θ = 52.22°, d 1.752, intensity 17, (4 0 0)
2θ = 57.31°, d 1.608, intensity 17, (3 3 1)
2θ = 58.94°, d 1.567, intensity 15, (4 2 0)
2θ = 65.23°, d 1.430, intensity 35, (4 2 2)
2θ = 69.73°, d 1.349, intensity 13, (5 1 1)

Crystal structure
```
data_NaScSn
_chemical_formula_sum 'Na4 Sc4 Sn4'
_cell_length_a 7.0074
_cell_length_b 7.0074
_cell_length_c 7.0074
_cell_angle_alpha 90.00
_cell_angle_beta 90.00
_cell_angle_gamma 90.00
_space_group_name_H-M_alt 'F -4 3 m'
_space_group_IT_number 216
_space_group_name_Hall 'F -4 2 3'
loop_
_atom_site_label
_atom_site_type_symbol
_atom_site_fract_x
_atom_site_fract_y
_atom_site_fract_z
_atom_site_occupancy
Na1 Na 0.0000 0.0000 0.0000 1
Sc1 Sc 0.2500 0.2500 0.2500 1
Sn1 Sn 0.0000 0.0000 0.5000 1
```

Calculated PXRD pattern
Compound: NaSe2
Radiation: λ = 1.5418 Å (Cu Kα)
Structure: a cell relaxed with PBE

The 10 most intense peaks (5° ≤ 2θ ≤ 70°), sorted by position:
2θ = 18.79°, d 4.722, intensity 50, (1 1 2)
2θ = 20.57°, d 4.317, intensity 56, (2 1 1)
2θ = 23.17°, d 3.838, intensity 46, (1 0 3)
2θ = 29.02°, d 3.077, intensity 100, (2 1 3)
2θ = 31.02°, d 2.883, intensity 88, (3 1 2)
2θ = 36.71°, d 2.448, intensity 48, (4 1 1)
2θ = 38.11°, d 2.361, intensity 35, (2 2 4)
2θ = 38.30°, d 2.350, intensity 41, (3 2 3)
2θ = 47.36°, d 1.919, intensity 35, (2 0 6)
2θ = 50.12°, d 1.820, intensity 38, (4 4 0)

Crystal structure
```
data_NaSe2
_chemical_formula_sum 'Na16 Se32'
_cell_length_a 10.2962
_cell_length_b 10.2962
_cell_length_c 12.4095
_cell_angle_alpha 90.00
_cell_angle_beta 90.00
_cell_angle_gamma 90.00
_space_group_name_H-M_alt 'I -4 2 d'
_space_group_IT_number 122
_space_group_name_Hall 'I -4 2bw'
loop_
_atom_site_label
_atom_site_type_symbol
_atom_site_fract_x
_atom_site_fract_y
_atom_site_fract_z
_atom_site_occupancy
Na1 Na 0.0000 0.0000 0.1896 1
Na2 Na 0.2473 0.2500 0.6250 1
Se1 Se 0.0189 0.2283 0.9563 1
Se2 Se 0.1212 0.6393 0.6541 1
```

Question: Which formula does entry 2 have?
Answer: NaScSn